[1]
The following is a theoretical powder X-ray diffraction pattern of CaSm2Y. It was derived from a DFT-relaxed cell (PBE, Alexandria), using λ = 1.5418 Å (Cu Kα).

Atomic structure:
Cell lengths 5.819, 5.819, 5.819 Å; angles 60.00, 60.00, 60.00 degrees
Sites, in units of the cell vectors:
1 Ca 0.000 0.000 0.000
2 Sm 0.250 0.250 0.250
3 Sm 0.750 0.750 0.750
4 Y 0.500 0.500 0.500

Main lines, in order of falling intensity (2θ from 15° to 90°):
d/Å	Rel. int.
2.910	100
1.680	39
1.100	20
2.057	18
4.115	17
1.301	16

=====

[2]
The following is a theoretical powder X-ray diffraction pattern of YBeAu3. It was derived from a DFT-relaxed cell (PBE, Alexandria), using λ = 1.5418 Å (Cu Kα).

Atomic structure:
Cell lengths 7.184, 7.184, 8.145 Å; angles 110.76, 110.76, 84.61 degrees
Sites, in units of the cell vectors:
1 Y 0.078 0.922 0.750
2 Y 0.350 0.650 0.250
3 Y 0.650 0.350 0.750
4 Y 0.922 0.078 0.250
5 Be 0.280 0.537 0.829
6 Be 0.463 0.720 0.671
7 Be 0.537 0.280 0.329
8 Be 0.720 0.463 0.171
9 Au 0.008 0.320 0.060
10 Au 0.028 0.299 0.663
11 Au 0.267 0.425 0.489
12 Au 0.299 0.028 0.163
13 Au 0.320 0.008 0.560
14 Au 0.425 0.267 0.989
15 Au 0.575 0.733 0.011
16 Au 0.680 0.992 0.440
17 Au 0.701 0.972 0.837
18 Au 0.733 0.575 0.511
19 Au 0.972 0.701 0.337
20 Au 0.992 0.680 0.940

Main lines, in order of falling intensity (2θ from 15° to 90°):
d/Å	Rel. int.
2.366	100
2.606	58
2.701	50
2.238	47
2.522	41
2.346	37

=====

[3]
The following is a theoretical powder X-ray diffraction pattern of Tb5Pr12Dy. It was derived from a DFT-relaxed cell (PBE, Alexandria), using λ = 1.5418 Å (Cu Kα).

Atomic structure:
Cell lengths 10.987, 10.987, 5.191 Å; angles 90.00, 90.00, 90.17 degrees
Sites, in units of the cell vectors:
1 Tb 0.000 0.000 0.000
2 Tb 0.166 0.834 0.500
3 Tb 0.333 0.667 0.000
4 Tb 0.667 0.333 0.000
5 Tb 0.834 0.166 0.500
6 Pr 0.002 0.668 0.000
7 Pr 0.165 0.165 0.500
8 Pr 0.169 0.502 0.500
9 Pr 0.332 0.998 0.000
10 Pr 0.336 0.336 0.000
11 Pr 0.498 0.831 0.500
12 Pr 0.502 0.169 0.500
13 Pr 0.664 0.664 0.000
14 Pr 0.668 0.002 0.000
15 Pr 0.831 0.498 0.500
16 Pr 0.835 0.835 0.500
17 Pr 0.998 0.332 0.000
18 Dy 0.500 0.500 0.500

Main lines, in order of falling intensity (2θ from 15° to 90°):
d/Å	Rel. int.
2.992	100
2.594	34
1.564	29
1.833	24
2.586	17
1.560	14

=====

[4]
The following is a theoretical powder X-ray diffraction pattern of CeMgCdRh. It was derived from a DFT-relaxed cell (PBE, Alexandria), using λ = 1.5418 Å (Cu Kα).

Atomic structure:
Cell lengths 3.258, 3.258, 7.893 Å; angles 90.00, 90.00, 90.00 degrees
Sites, in units of the cell vectors:
1 Ce 0.000 0.000 0.000
2 Mg 0.000 0.000 0.420
3 Cd 0.500 0.500 0.677
4 Rh 0.500 0.500 0.225

Main lines, in order of falling intensity (2θ from 15° to 90°):
d/Å	Rel. int.
2.512	100
2.304	46
3.011	30
1.367	28
1.629	15
1.499	11

=====

[5]
The following is a theoretical powder X-ray diffraction pattern of PmSm3Sn12. It was derived from a DFT-relaxed cell (PBE, Alexandria), using λ = 1.5418 Å (Cu Kα).

Atomic structure:
Cell lengths 4.771, 4.771, 18.835 Å; angles 90.00, 90.00, 90.00 degrees
Sites, in units of the cell vectors:
1 Pm 0.000 0.000 0.000
2 Sm 0.000 0.000 0.250
3 Sm 0.000 0.000 0.500
4 Sm 0.000 0.000 0.750
5 Sn 0.000 0.500 0.125
6 Sn 0.000 0.500 0.375
7 Sn 0.000 0.500 0.625
8 Sn 0.000 0.500 0.875
9 Sn 0.500 0.000 0.125
10 Sn 0.500 0.000 0.375
11 Sn 0.500 0.000 0.625
12 Sn 0.500 0.000 0.875
13 Sn 0.500 0.500 0.000
14 Sn 0.500 0.500 0.250
15 Sn 0.500 0.500 0.500
16 Sn 0.500 0.500 0.750

Main lines, in order of falling intensity (2θ from 15° to 90°):
d/Å	Rel. int.
2.742	100
2.386	34
1.437	29
1.676	24
2.354	16
1.423	14

=====

[6]
The following is a theoretical powder X-ray diffraction pattern of SrHoMg2In2. It was derived from a DFT-relaxed cell (PBE, Alexandria), using λ = 1.5418 Å (Cu Kα).

Atomic structure:
Cell lengths 5.018, 5.018, 7.809 Å; angles 90.00, 90.00, 120.00 degrees
Sites, in units of the cell vectors:
1 Sr 0.000 0.000 0.000
2 Ho 0.000 0.000 0.500
3 Mg 0.333 0.667 0.704
4 Mg 0.667 0.333 0.296
5 In 0.333 0.667 0.288
6 In 0.667 0.333 0.712

Main lines, in order of falling intensity (2θ from 15° to 90°):
d/Å	Rel. int.
2.904	100
2.509	66
3.797	34
1.898	29
1.514	28
1.541	17

=====

[7]
The following is a theoretical powder X-ray diffraction pattern of PuTiN2. It was derived from a DFT-relaxed cell (PBE, Alexandria), using λ = 1.5418 Å (Cu Kα).

Atomic structure:
Cell lengths 3.167, 3.167, 10.962 Å; angles 90.00, 90.00, 120.00 degrees
Sites, in units of the cell vectors:
1 Pu 0.333 0.667 0.250
2 Pu 0.667 0.333 0.750
3 Ti 0.000 0.000 0.000
4 Ti 0.000 0.000 0.500
5 N 0.333 0.667 0.607
6 N 0.333 0.667 0.893
7 N 0.667 0.333 0.107
8 N 0.667 0.333 0.393

Main lines, in order of falling intensity (2θ from 15° to 90°):
d/Å	Rel. int.
2.661	100
5.481	84
2.194	82
2.453	59
2.741	44
1.521	34

=====

[8]
The following is a theoretical powder X-ray diffraction pattern of Ca2Ga3Ag. It was derived from a DFT-relaxed cell (PBE, Alexandria), using λ = 1.5418 Å (Cu Kα).

Atomic structure:
Cell lengths 5.836, 5.836, 7.300 Å; angles 128.26, 128.26, 45.82 degrees
Sites, in units of the cell vectors:
1 Ca 0.000 0.000 0.000
2 Ca 0.084 0.084 0.587
3 Ga 0.377 0.377 0.568
4 Ga 0.380 0.380 0.187
5 Ga 0.702 0.702 0.405
6 Ag 0.706 0.706 0.005

Main lines, in order of falling intensity (2θ from 15° to 90°):
d/Å	Rel. int.
2.291	100
2.683	60
2.673	60
2.272	55
3.650	37
2.776	31

=====

[9]
The following is a theoretical powder X-ray diffraction pattern of Ac4Pm10Ho. It was derived from a DFT-relaxed cell (PBE, Alexandria), using λ = 1.5418 Å (Cu Kα).

Atomic structure:
Cell lengths 9.281, 9.281, 9.281 Å; angles 101.43, 101.43, 127.12 degrees
Sites, in units of the cell vectors:
1 Ac 0.227 0.227 0.454
2 Ac 0.227 0.773 0.000
3 Ac 0.773 0.227 0.000
4 Ac 0.773 0.773 0.546
5 Pm 0.087 0.294 0.793
6 Pm 0.250 0.750 0.500
7 Pm 0.294 0.087 0.793
8 Pm 0.294 0.501 0.207
9 Pm 0.499 0.706 0.793
10 Pm 0.501 0.294 0.207
11 Pm 0.706 0.499 0.793
12 Pm 0.706 0.913 0.207
13 Pm 0.750 0.250 0.500
14 Pm 0.913 0.706 0.207
15 Ho 0.000 0.000 0.000

Main lines, in order of falling intensity (2θ from 15° to 90°):
d/Å	Rel. int.
2.934	100
3.380	35
3.032	29
2.302	26
2.765	22
1.788	14

=====

[10]
The following is a theoretical powder X-ray diffraction pattern of ThH2Cl5. It was derived from a DFT-relaxed cell (PBE, Alexandria), using λ = 1.5418 Å (Cu Kα).

Atomic structure:
Cell lengths 4.393, 9.190, 12.246 Å; angles 90.00, 100.10, 90.00 degrees
Sites, in units of the cell vectors:
1 Th 0.083 0.250 0.189
2 Th 0.917 0.750 0.811
3 H 0.110 0.709 0.336
4 H 0.110 0.791 0.336
5 H 0.890 0.209 0.664
6 H 0.890 0.291 0.664
7 Cl 0.020 0.750 0.025
8 Cl 0.184 0.109 0.395
9 Cl 0.184 0.391 0.395
10 Cl 0.425 0.563 0.828
11 Cl 0.425 0.937 0.828
12 Cl 0.575 0.063 0.172
13 Cl 0.575 0.437 0.172
14 Cl 0.816 0.609 0.605
15 Cl 0.816 0.891 0.605
16 Cl 0.980 0.250 0.975

Main lines, in order of falling intensity (2θ from 15° to 90°):
d/Å	Rel. int.
3.148	100
2.398	66
3.911	55
2.652	55
4.323	53
2.864	49

=====

[11]
The following is a theoretical powder X-ray diffraction pattern of Mn5Ru3. It was derived from a DFT-relaxed cell (PBE, Alexandria), using λ = 1.5418 Å (Cu Kα).

Atomic structure:
Cell lengths 5.186, 5.186, 3.737 Å; angles 90.00, 90.00, 91.10 degrees
Sites, in units of the cell vectors:
1 Mn 0.000 0.000 0.000
2 Mn 0.000 0.500 0.000
3 Mn 0.250 0.250 0.500
4 Mn 0.500 0.000 0.000
5 Mn 0.750 0.750 0.500
6 Ru 0.244 0.756 0.500
7 Ru 0.500 0.500 0.000
8 Ru 0.756 0.244 0.500

Main lines, in order of falling intensity (2θ from 15° to 90°):
d/Å	Rel. int.
2.130	100
1.868	16
1.851	16
1.816	15
1.123	12
1.115	11

=====

[12]
The following is a theoretical powder X-ray diffraction pattern of Ba2BiS. It was derived from a DFT-relaxed cell (PBE, Alexandria), using λ = 1.5418 Å (Cu Kα).

Atomic structure:
Cell lengths 9.032, 9.032, 9.032 Å; angles 29.48, 29.48, 29.48 degrees
Sites, in units of the cell vectors:
1 Ba 0.238 0.238 0.238
2 Ba 0.762 0.762 0.762
3 Bi 0.000 0.000 0.000
4 S 0.500 0.500 0.500

Main lines, in order of falling intensity (2θ from 15° to 90°):
d/Å	Rel. int.
3.391	100
2.512	38
2.298	36
3.156	25
3.934	21
1.902	20

=====

[13]
The following is a theoretical powder X-ray diffraction pattern of Tb6Pr3Ho. It was derived from a DFT-relaxed cell (PBE, Alexandria), using λ = 1.5418 Å (Cu Kα).

Atomic structure:
Cell lengths 6.690, 6.690, 9.828 Å; angles 112.13, 112.13, 59.35 degrees
Sites, in units of the cell vectors:
1 Tb 0.059 0.570 0.186
2 Tb 0.136 0.136 0.420
3 Tb 0.430 0.941 0.814
4 Tb 0.570 0.059 0.186
5 Tb 0.864 0.864 0.580
6 Tb 0.941 0.430 0.814
7 Pr 0.428 0.428 0.799
8 Pr 0.500 0.500 0.500
9 Pr 0.572 0.572 0.201
10 Ho 0.000 0.000 0.000

Main lines, in order of falling intensity (2θ from 15° to 90°):
d/Å	Rel. int.
2.869	100
2.800	42
2.904	40
3.138	29
1.671	28
2.717	27